This entry pairs a crystal structure of Li3MgCd2 with its simulated powder X-ray diffraction pattern. Radiation: λ = 1.5418 Å (Cu Kα). Structure: a crystal structure in Alexandria, relaxed with GGA-PBE.
Kinematic intensities with the Lorentz-polarization factor, no thermal factor.

Top 10 peaks for 2θ = 10–80°, low angle first:
Position (°2θ)	Rel. int.
21.53	50
21.70	100
30.89	17
37.85	40
37.97	34
38.09	86
44.23	15
49.63	17
54.93	22
68.78	18

Structural model:
```
data_Li3MgCd2
_space_group_name_H-M_alt 'P 1'
_space_group_IT_number 1
_space_group_name_Hall 'P 1'
_cell_length_a 9.5079
_cell_length_b 8.7485
_cell_length_c 5.5336
_cell_angle_alpha 80.03
_cell_angle_beta 64.99
_cell_angle_gamma 34.97
loop_
_atom_site_label
_atom_site_type_symbol
_atom_site_fract_x
_atom_site_fract_y
_atom_site_fract_z
_atom_site_occupancy
Li1 Li 0.1613 0.6759 0.3241 1
Li2 Li 0.1634 0.1634 0.8366 1
Li3 Li 0.3241 0.8387 0.1613 1
Li4 Li 0.6759 0.1613 0.8387 1
Li5 Li 0.8366 0.8366 0.1634 1
Li6 Li 0.8387 0.3241 0.6759 1
Mg1 Mg 0.3346 0.3346 0.6654 1
Mg2 Mg 0.6654 0.6654 0.3346 1
Cd1 Cd 0.2500 0.2500 0.2500 1
Cd2 Cd 0.2515 0.7485 0.7485 1
Cd3 Cd 0.7485 0.2515 0.2515 1
Cd4 Cd 0.7500 0.7500 0.7500 1
```